Record 1
For TcAg, a GGA-PBE-relaxed structure gives the computed X-ray diffraction stick pattern in this record (Cu Kα X-rays).
No peak broadening, texture or thermal motion is included.

abc: 9.724 9.724 9.724
angles: 16.51 16.51 16.51
Element x y z (fractional)
Tc1 0.132 0.132 0.132
Tc2 0.868 0.868 0.868
Ag1 0.378 0.378 0.378
Ag2 0.622 0.622 0.622

Top 6 peaks for 10 to 90 degrees two-theta, by angle:
- 2θ 37.52, intensity 34
- 2θ 39.31, intensity 100
- 2θ 45.19, intensity 63
- 2θ 64.60, intensity 17
- 2θ 67.04, intensity 20
- 2θ 79.44, intensity 21

***

Record 2
For Tc2Ag, a GGA-PBE-relaxed structure gives the computed X-ray diffraction stick pattern in this record (Cu Kα X-rays).
No peak broadening, texture or thermal motion is included.

abc: 6.101 6.101 4.108
angles: 90.00 90.00 141.31
Element x y z (fractional)
Tc1 0.113 0.887 0.750
Tc2 0.251 0.749 0.250
Tc3 0.749 0.251 0.750
Tc4 0.887 0.113 0.250
Ag1 0.423 0.577 0.750
Ag2 0.577 0.423 0.250

Top 6 peaks for 10 to 90 degrees two-theta, by angle:
- 2θ 39.10, intensity 100
- 2θ 44.09, intensity 20
- 2θ 44.86, intensity 19
- 2θ 64.72, intensity 13
- 2θ 77.73, intensity 13
- 2θ 78.82, intensity 12

***

Record 3
For TcAg8, a GGA-PBE-relaxed structure gives the computed X-ray diffraction stick pattern in this record (Cu Kα X-rays).
No peak broadening, texture or thermal motion is included.

abc: 6.575 6.575 6.575
angles: 95.57 95.57 143.68
Element x y z (fractional)
Tc1 0.000 0.000 0.000
Ag1 0.000 0.332 0.332
Ag2 0.000 0.668 0.668
Ag3 0.332 0.000 0.332
Ag4 0.335 0.335 0.671
Ag5 0.335 0.665 0.000
Ag6 0.665 0.335 0.000
Ag7 0.665 0.665 0.329
Ag8 0.668 0.000 0.668

Top 6 peaks for 10 to 90 degrees two-theta, by angle:
- 2θ 37.61, intensity 100
- 2θ 43.46, intensity 33
- 2θ 44.20, intensity 16
- 2θ 63.72, intensity 20
- 2θ 75.88, intensity 23
- 2θ 76.94, intensity 11

***

Record 4
For Tc2Ag, a GGA-PBE-relaxed structure gives the computed X-ray diffraction stick pattern in this record (Cu Kα X-rays).
No peak broadening, texture or thermal motion is included.

abc: 4.578 4.578 5.290
angles: 90.00 90.00 120.00
Element x y z (fractional)
Tc1 0.333 0.667 0.030
Tc2 0.333 0.667 0.470
Tc3 0.667 0.333 0.530
Tc4 0.667 0.333 0.970
Ag1 0.000 0.000 0.250
Ag2 0.000 0.000 0.750

Top 6 peaks for 10 to 90 degrees two-theta, by angle:
- 2θ 39.36, intensity 100
- 2θ 41.02, intensity 76
- 2θ 58.16, intensity 26
- 2θ 71.36, intensity 20
- 2θ 72.50, intensity 27
- 2θ 84.66, intensity 24

***

Record 5
For TcAg, a GGA-PBE-relaxed structure gives the computed X-ray diffraction stick pattern in this record (Cu Kα X-rays).
No peak broadening, texture or thermal motion is included.

abc: 2.805 2.805 9.479
angles: 90.00 90.00 120.00
Element x y z (fractional)
Tc1 0.000 0.000 0.000
Tc2 0.333 0.667 0.788
Ag1 0.333 0.667 0.260
Ag2 0.667 0.333 0.524

Top 6 peaks for 10 to 90 degrees two-theta, by angle:
- 2θ 37.97, intensity 35
- 2θ 38.25, intensity 45
- 2θ 41.78, intensity 100
- 2θ 47.19, intensity 24
- 2θ 66.69, intensity 22
- 2θ 79.39, intensity 23

***

Record 6
For Tc5Ag3, a GGA-PBE-relaxed structure gives the computed X-ray diffraction stick pattern in this record (Cu Kα X-rays).
No peak broadening, texture or thermal motion is included.

abc: 4.857 7.688 7.962
angles: 82.74 74.83 72.81
Element x y z (fractional)
Tc1 0.066 0.206 0.177
Tc2 0.207 0.230 0.842
Tc3 0.246 0.653 0.268
Tc4 0.268 0.509 0.950
Tc5 0.404 0.316 0.291
Tc6 0.596 0.684 0.709
Tc7 0.732 0.491 0.050
Tc8 0.754 0.347 0.732
Tc9 0.793 0.770 0.158
Tc10 0.934 0.794 0.823
Ag1 0.213 0.515 0.597
Ag2 0.305 0.921 0.457
Ag3 0.311 0.893 0.990
Ag4 0.689 0.107 0.010
Ag5 0.695 0.079 0.543
Ag6 0.787 0.485 0.403

Top 6 peaks for 10 to 90 degrees two-theta, by angle:
- 2θ 34.73, intensity 100
- 2θ 37.73, intensity 52
- 2θ 39.96, intensity 99
- 2θ 40.84, intensity 98
- 2θ 41.39, intensity 56
- 2θ 46.88, intensity 73

***

Record 7
For Tc3Ag2, a GGA-PBE-relaxed structure gives the computed X-ray diffraction stick pattern in this record (Cu Kα X-rays).
No peak broadening, texture or thermal motion is included.

abc: 11.989 11.989 11.989
angles: 13.27 13.27 13.27
Element x y z (fractional)
Tc1 0.000 0.000 0.000
Tc2 0.195 0.195 0.195
Tc3 0.805 0.805 0.805
Ag1 0.401 0.401 0.401
Ag2 0.599 0.599 0.599

Top 6 peaks for 10 to 90 degrees two-theta, by angle:
- 2θ 37.86, intensity 35
- 2θ 39.63, intensity 100
- 2θ 45.57, intensity 65
- 2θ 65.20, intensity 19
- 2θ 67.61, intensity 20
- 2θ 80.19, intensity 22

***

Record 8
For Th3TcAg, a GGA-PBE-relaxed structure gives the computed X-ray diffraction stick pattern in this record (Cu Kα X-rays).
No peak broadening, texture or thermal motion is included.

abc: 9.501 8.664 6.067
angles: 78.15 63.18 38.67
Element x y z (fractional)
Th1 0.196 0.196 0.804
Th2 0.211 0.573 0.427
Th3 0.427 0.789 0.211
Th4 0.573 0.211 0.789
Th5 0.789 0.427 0.573
Th6 0.804 0.804 0.196
Tc1 0.250 0.250 0.250
Tc2 0.750 0.750 0.750
Ag1 0.203 0.797 0.797
Ag2 0.797 0.203 0.203

Top 6 peaks for 10 to 90 degrees two-theta, by angle:
- 2θ 30.12, intensity 100
- 2θ 32.28, intensity 81
- 2θ 34.10, intensity 45
- 2θ 34.34, intensity 68
- 2θ 35.32, intensity 51
- 2θ 55.17, intensity 37

***

Record 9
For TiTc2Ag, a GGA-PBE-relaxed structure gives the computed X-ray diffraction stick pattern in this record (Cu Kα X-rays).
No peak broadening, texture or thermal motion is included.

abc: 4.451 4.451 4.451
angles: 60.00 60.00 60.00
Element x y z (fractional)
Ti1 0.000 0.000 0.000
Tc1 0.250 0.250 0.250
Tc2 0.750 0.750 0.750
Ag1 0.500 0.500 0.500

Top 6 peaks for 10 to 90 degrees two-theta, by angle:
- 2θ 24.49, intensity 8
- 2θ 40.53, intensity 100
- 2θ 47.93, intensity 4
- 2θ 58.66, intensity 16
- 2θ 73.73, intensity 32
- 2θ 87.70, intensity 10

***

Record 10
For YTiTc2Ag, a GGA-PBE-relaxed structure gives the computed X-ray diffraction stick pattern in this record (Cu Kα X-rays).
No peak broadening, texture or thermal motion is included.

abc: 4.760 4.760 4.838
angles: 90.00 90.00 90.00
Element x y z (fractional)
Y1 0.000 0.000 0.000
Ti1 0.000 0.000 0.500
Tc1 0.000 0.500 0.000
Tc2 0.500 0.000 0.000
Ag1 0.500 0.500 0.500

Top 6 peaks for 10 to 90 degrees two-theta, by angle:
- 2θ 26.26, intensity 57
- 2θ 32.40, intensity 100
- 2θ 37.16, intensity 47
- 2θ 37.80, intensity 91
- 2θ 54.05, intensity 62
- 2θ 67.84, intensity 30

***

Record 11
For Tm4TcAg, a GGA-PBE-relaxed structure gives the computed X-ray diffraction stick pattern in this record (Cu Kα X-rays).
No peak broadening, texture or thermal motion is included.

abc: 7.442 7.442 6.230
angles: 98.64 98.64 112.29
Element x y z (fractional)
Tm1 0.070 0.724 0.958
Tm2 0.208 0.364 0.592
Tm3 0.276 0.930 0.542
Tm4 0.364 0.208 0.092
Tm5 0.636 0.792 0.908
Tm6 0.724 0.070 0.458
Tm7 0.792 0.636 0.408
Tm8 0.930 0.276 0.042
Tc1 0.001 0.999 0.750
Tc2 0.999 0.001 0.250
Ag1 0.373 0.627 0.250
Ag2 0.627 0.373 0.750

Top 6 peaks for 10 to 90 degrees two-theta, by angle:
- 2θ 29.75, intensity 54
- 2θ 30.13, intensity 38
- 2θ 33.44, intensity 100
- 2θ 33.74, intensity 70
- 2θ 35.34, intensity 31
- 2θ 36.30, intensity 48

***

Record 12
For UTcAg, a GGA-PBE-relaxed structure gives the computed X-ray diffraction stick pattern in this record (Cu Kα X-rays).
No peak broadening, texture or thermal motion is included.

abc: 6.467 6.352 4.840
angles: 69.08 66.56 44.35
Element x y z (fractional)
U1 0.250 0.250 0.250
U2 0.750 0.750 0.750
Tc1 0.159 0.159 0.841
Tc2 0.841 0.841 0.159
Ag1 0.313 0.687 0.313
Ag2 0.687 0.313 0.687

Top 6 peaks for 10 to 90 degrees two-theta, by angle:
- 2θ 16.36, intensity 47
- 2θ 30.91, intensity 36
- 2θ 31.65, intensity 73
- 2θ 37.23, intensity 33
- 2θ 40.91, intensity 100
- 2θ 42.04, intensity 53